[1]
This entry pairs a crystal structure of Y5BiC with its calculated X-ray powder pattern. Radiation: copper Kα. Structure: DFT lattice parameters and positions (GGA-PBE).
Peak positions follow from Bragg's law for the DFT cell and can differ from measured ones.

Crystal structure
a b c (Å): 11.806 8.224 9.437
angles (deg): 90.00 113.24 90.00
Space group C2/c (No. 15)
Inequivalent atoms, fractional coordinates:
1 Y 0.000 0.058 0.250
2 Y 0.085 0.274 0.973
3 Y 0.210 0.103 0.638
4 Bi 0.000 0.424 0.250
5 C 0.000 0.000 0.000

The 10 most intense peaks (15 to 90 degrees two-theta), by angle:
2θ 16.3, I 75, (2 0 0)
2θ 21.7, I 70, (1 1 -2)
2θ 24.0, I 59, (0 2 1)
2θ 30.0, I 95, (0 2 2)
2θ 30.7, I 89, (1 1 -3)
2θ 31.2, I 100, (4 0 -2)
2θ 32.2, I 89, (3 1 1)
2θ 34.3, I 95, (1 3 -1)
2θ 38.2, I 60, (2 0 -4)
2θ 40.1, I 59, (3 3 -1)

=====

[2]
This entry pairs a crystal structure of Sr5Ga2Bi6 with its calculated X-ray powder pattern. Radiation: copper Kα. Structure: DFT lattice parameters and positions (GGA-PBE).
Peak positions follow from Bragg's law for the DFT cell and can differ from measured ones.

Crystal structure
a b c (Å): 13.082 15.002 4.748
angles (deg): 90.00 90.00 90.00
Space group Pbam (No. 55)
Inequivalent atoms, fractional coordinates:
1 Sr 0.000 0.000 0.000
2 Sr 0.093 0.248 0.000
3 Sr 0.168 0.524 0.000
4 Ga 0.175 0.710 0.500
5 Bi 0.018 0.399 0.500
6 Bi 0.156 0.091 0.500
7 Bi 0.162 0.819 0.000

The 10 most intense peaks (15 to 90 degrees two-theta), by angle:
2θ 21.2, I 39, (3 1 0)
2θ 23.2, I 79, (1 2 1)
2θ 27.1, I 43, (3 3 0)
2θ 28.4, I 71, (3 1 1)
2θ 29.3, I 61, (2 3 1)
2θ 30.4, I 47, (0 4 1)
2θ 37.9, I 56, (0 0 2)
2θ 40.8, I 34, (0 6 1)
2θ 41.2, I 100, (3 5 1)
2θ 59.5, I 42, (6 6 1)

=====

Q: Number 1 is which compound?
A: Y5BiC

=====

Q: Which formula does entry 2 have?
A: Sr5Ga2Bi6

=====

Q: Number 1 is which compound?
A: Y5BiC